No. 1
The following is a calculated powder diffractogram of Ba4LiRh4O12. It was derived from the GGA-PBE geometry in the Materials Project, using a wavelength of 1.5418 Å.
Lines closer than 0.1° are merged.

The 6 most intense peaks (2θ = 5–70°), sorted by position:
| 2theta | I/Imax |
| --- | --- |
| 24.62 | 52 |
| 30.95 | 100 |
| 31.26 | 43 |
| 39.94 | 32 |
| 44.57 | 25 |
| 55.06 | 19 |

Crystal structure
Cell: 5.778 5.778 10.463 Å, 90.00 90.00 120.00°
Sites, in units of the cell vectors:
Ba 0.000 0.000 0.000
Ba 0.000 0.000 0.488
Ba 0.333 0.667 0.775
Ba 0.667 0.333 0.225
Li 0.333 0.667 0.541
Rh 0.333 0.667 0.076
Rh 0.333 0.667 0.332
Rh 0.667 0.333 0.578
Rh 0.667 0.333 0.845
O 0.008 0.504 0.463
O 0.182 0.364 0.205
O 0.182 0.818 0.205
O 0.372 0.186 0.712
O 0.496 0.504 0.463
O 0.496 0.992 0.463
O 0.503 0.005 0.966
O 0.503 0.497 0.966
O 0.636 0.818 0.205
O 0.814 0.186 0.712
O 0.814 0.628 0.712
O 0.995 0.497 0.966



No. 2
The following is a calculated powder diffractogram of Ce2SiSeO4. It was derived from the GGA-PBE geometry in the Materials Project, using a wavelength of 1.5418 Å.
Lines closer than 0.1° are merged.

The 6 most intense peaks (2θ = 5–70°), sorted by position:
| 2theta | I/Imax |
| --- | --- |
| 20.31 | 28 |
| 24.59 | 29 |
| 29.34 | 78 |
| 32.04 | 100 |
| 35.01 | 33 |
| 39.51 | 28 |

Crystal structure
Cell: 6.285 7.260 11.179 Å, 90.00 90.00 90.00°
Sites, in units of the cell vectors:
Ce 0.107 0.250 0.000
Ce 0.107 0.250 0.500
Ce 0.368 0.534 0.250
Ce 0.368 0.966 0.750
Ce 0.632 0.034 0.250
Ce 0.632 0.466 0.750
Ce 0.893 0.750 0.000
Ce 0.893 0.750 0.500
Si 0.387 0.750 0.000
Si 0.387 0.750 0.500
Si 0.613 0.250 0.000
Si 0.613 0.250 0.500
Se 0.076 0.611 0.750
Se 0.076 0.889 0.250
Se 0.924 0.111 0.750
Se 0.924 0.389 0.250
O 0.230 0.575 0.032
O 0.230 0.575 0.468
O 0.230 0.925 0.532
O 0.230 0.925 0.968
O 0.453 0.234 0.617
O 0.453 0.234 0.883
O 0.453 0.266 0.117
O 0.453 0.266 0.383
O 0.547 0.734 0.617
O 0.547 0.734 0.883
O 0.547 0.766 0.117
O 0.547 0.766 0.383
O 0.770 0.075 0.032
O 0.770 0.075 0.468
O 0.770 0.425 0.532
O 0.770 0.425 0.968



No. 3
The following is a calculated powder diffractogram of Dy2Co3Si5. It was derived from the GGA-PBE geometry in the Materials Project, using a wavelength of 1.5418 Å.
Lines closer than 0.1° are merged.

The 6 most intense peaks (2θ = 5–70°), sorted by position:
| 2theta | I/Imax |
| --- | --- |
| 24.66 | 56 |
| 36.04 | 87 |
| 36.85 | 87 |
| 36.99 | 100 |
| 37.37 | 58 |
| 45.96 | 94 |

Crystal structure
Cell: 7.833 7.833 5.481 Å, 109.17 109.17 93.37°
Sites, in units of the cell vectors:
Dy 0.098 0.369 0.236
Dy 0.369 0.098 0.736
Dy 0.631 0.902 0.264
Dy 0.902 0.631 0.764
Co 0.039 0.762 0.374
Co 0.238 0.961 0.126
Co 0.496 0.504 0.250
Co 0.504 0.496 0.750
Co 0.762 0.039 0.874
Co 0.961 0.238 0.626
Si 0.011 0.989 0.750
Si 0.238 0.437 0.835
Si 0.270 0.730 0.750
Si 0.285 0.715 0.250
Si 0.437 0.238 0.335
Si 0.563 0.762 0.665
Si 0.715 0.285 0.750
Si 0.730 0.270 0.250
Si 0.762 0.563 0.165
Si 0.989 0.011 0.250



No. 4
The following is a calculated powder diffractogram of TmMnSi. It was derived from the GGA-PBE geometry in the Materials Project, using a wavelength of 1.5418 Å.
Lines closer than 0.1° are merged.

The 6 most intense peaks (2θ = 5–70°), sorted by position:
| 2theta | I/Imax |
| --- | --- |
| 25.05 | 59 |
| 26.01 | 33 |
| 34.95 | 91 |
| 36.42 | 100 |
| 37.64 | 47 |
| 45.17 | 30 |

Crystal structure
Cell: 6.851 4.015 7.650 Å, 90.00 90.00 90.00°
Sites, in units of the cell vectors:
Tm 0.019 0.250 0.184
Tm 0.481 0.750 0.684
Tm 0.519 0.250 0.316
Tm 0.981 0.750 0.816
Mn 0.138 0.250 0.557
Mn 0.362 0.750 0.057
Mn 0.638 0.250 0.943
Mn 0.862 0.750 0.443
Si 0.218 0.750 0.385
Si 0.282 0.250 0.885
Si 0.718 0.750 0.115
Si 0.782 0.250 0.615



No. 5
The following is a calculated powder diffractogram of InAg3. It was derived from the GGA-PBE geometry in the Materials Project, using a wavelength of 1.5418 Å.
Lines closer than 0.1° are merged.

The 3 most intense peaks (2θ = 5–70°), sorted by position:
| 2theta | I/Imax |
| --- | --- |
| 36.65 | 100 |
| 42.57 | 49 |
| 61.78 | 31 |

Crystal structure
Cell: 4.247 4.247 4.247 Å, 90.00 90.00 90.00°
Sites, in units of the cell vectors:
In 0.000 0.000 0.000
Ag 0.000 0.500 0.500
Ag 0.500 0.000 0.500
Ag 0.500 0.500 0.000



No. 6
The following is a calculated powder diffractogram of Mg2ZnAs2. It was derived from the GGA-PBE geometry in the Materials Project, using a wavelength of 1.5418 Å.
Lines closer than 0.1° are merged.

The 6 most intense peaks (2θ = 5–70°), sorted by position:
| 2theta | I/Imax |
| --- | --- |
| 13.37 | 26 |
| 27.57 | 100 |
| 36.38 | 99 |
| 42.22 | 81 |
| 47.96 | 37 |
| 56.92 | 26 |

Crystal structure
Cell: 4.281 4.281 6.622 Å, 90.00 90.00 120.00°
Sites, in units of the cell vectors:
Mg 0.333 0.667 0.355
Mg 0.667 0.333 0.645
Zn 0.000 0.000 0.000
As 0.333 0.667 0.778
As 0.667 0.333 0.222



Question: Number 3 is which compound?
Answer: Dy2Co3Si5



Question: Which formula does entry 6 have?
Answer: Mg2ZnAs2



Question: Number 1 is which compound?
Answer: Ba4LiRh4O12